Starting from a GGA-PBE-relaxed structure, the X-ray diffraction stick pattern of V3Cr2Ge2 was calculated for Cu Kα.
Kinematic intensities with the Lorentz-polarization factor, no thermal factor.

Largest 8 diffraction maxima, most intense first, 2θ from 10° to 90°:
d = 2.119 Å, 2θ 42.67, intensity 100
d = 2.125 Å, 2θ 42.54, intensity 99
d = 2.194 Å, 2θ 41.14, intensity 47
d = 2.024 Å, 2θ 44.78, intensity 45
d = 1.514 Å, 2θ 61.23, intensity 16
d = 1.492 Å, 2θ 62.22, intensity 13
d = 1.246 Å, 2θ 76.44, intensity 13
d = 1.483 Å, 2θ 62.62, intensity 13

Crystal structure
abc: 2.6665 6.2595 6.4537
angles: 115.81 97.02 97.68
Fractional coordinates of all 7 atoms:
V1 0.0000 0.0000 0.0000
V2 0.3968 0.7183 0.5728
V3 0.6032 0.2817 0.4272
Cr1 0.1205 0.5681 0.8335
Cr2 0.8795 0.4319 0.1665
Ge1 0.3737 0.1740 0.7494
Ge2 0.6263 0.8260 0.2506


Starting from a GGA-PBE-relaxed structure, the X-ray diffraction stick pattern of V2CrGe6 was calculated for Cu Kα.
Kinematic intensities with the Lorentz-polarization factor, no thermal factor.

Largest 8 diffraction maxima, most intense first, 2θ from 10° to 90°:
d = 2.255 Å, 2θ 39.99, intensity 100
d = 1.944 Å, 2θ 46.72, intensity 62
d = 2.216 Å, 2θ 40.72, intensity 53
d = 2.245 Å, 2θ 40.17, intensity 49
d = 1.938 Å, 2θ 46.89, intensity 32
d = 1.366 Å, 2θ 68.73, intensity 19
d = 1.350 Å, 2θ 69.63, intensity 18
d = 2.397 Å, 2θ 37.52, intensity 15

Crystal structure
abc: 4.7937 4.7937 6.6481
angles: 90.00 90.00 120.34
Fractional coordinates of all 9 atoms:
V1 0.0000 0.5000 0.1697
V2 0.5000 0.0000 0.8303
Cr1 0.0000 0.0000 0.5000
Ge1 0.1649 0.3328 0.8330
Ge2 0.3328 0.1649 0.1670
Ge3 0.3335 0.6665 0.5000
Ge4 0.6665 0.3335 0.5000
Ge5 0.6672 0.8351 0.1670
Ge6 0.8351 0.6672 0.8330


Starting from a GGA-PBE-relaxed structure, the X-ray diffraction stick pattern of V5Cr5Ge6 was calculated for Cu Kα.
Kinematic intensities with the Lorentz-polarization factor, no thermal factor.

Largest 8 diffraction maxima, most intense first, 2θ from 10° to 90°:
d = 2.137 Å, 2θ 42.29, intensity 100
d = 2.063 Å, 2θ 43.89, intensity 84
d = 2.069 Å, 2θ 43.74, intensity 83
d = 1.947 Å, 2θ 46.65, intensity 51
d = 2.114 Å, 2θ 42.78, intensity 50
d = 2.108 Å, 2θ 42.90, intensity 49
d = 2.298 Å, 2θ 39.20, intensity 41
d = 2.397 Å, 2θ 37.52, intensity 33

Crystal structure
abc: 7.0922 7.0922 9.4204
angles: 131.60 131.60 39.51
Fractional coordinates of all 16 atoms:
V1 0.0000 0.0000 0.0000
V2 0.1516 0.1516 0.6852
V3 0.3258 0.8267 0.3424
V4 0.5016 0.5016 0.5369
V5 0.8267 0.3258 0.3424
Cr1 0.3079 0.3079 0.1486
Cr2 0.3475 0.3475 0.6847
Cr3 0.6524 0.6524 0.1519
Cr4 0.8114 0.8114 0.9980
Cr5 0.8463 0.8463 0.5376
Ge1 0.2447 0.2447 0.3415
Ge2 0.3302 0.8288 0.8471
Ge3 0.4096 0.4096 0.0063
Ge4 0.7441 0.7441 0.6764
Ge5 0.8288 0.3302 0.8471
Ge6 0.9060 0.9060 0.3390